Diffraction record for Ca3Si2Hg2Au4. The PXRD pattern is computed, not measured: it uses a DFT-relaxed cell (GGA-PBE, Alexandria) and Cu Kα (λ = 1.5418 Å).
Peak positions follow from Bragg's law for the DFT cell and can differ from measured ones.

Principal peaks in the range 15 to 90 degrees two-theta, sorted by position:
d [Å]  2θ/deg  Rel. int.  hkl
3.946  22.53  24  1 0 3
3.088  28.91  36  1 1 2
2.828  31.64  34  1 1 4
2.510  35.77  100  1 1 6
2.257  39.94  53  2 0 0
1.347  69.83  29  3 1 6

Structural model:
```
data_Ca3Si2Hg2Au4
_chemical_formula_sum 'Ca6 Si4 Hg4 Au8'
_cell_length_a 4.5141
_cell_length_b 4.5141
_cell_length_c 24.3881
_cell_angle_alpha 90.00
_cell_angle_beta 90.00
_cell_angle_gamma 90.00
_symmetry_space_group_name_H-M 'I 4/m m m'
_symmetry_Int_Tables_number 139
_symmetry_space_group_name_Hall '-I 4 2'
loop_
_atom_site_label
_atom_site_type_symbol
_atom_site_fract_x
_atom_site_fract_y
_atom_site_fract_z
Ca1 Ca 0.0000 0.0000 0.0000
Ca2 Ca 0.0000 0.0000 0.1909
Si1 Si 0.0000 0.0000 0.4510
Hg1 Hg 0.0000 0.0000 0.3198
Au1 Au 0.0000 0.5000 0.0949
```

Diffraction record for Ba6IrS2I3. The PXRD pattern is computed, not measured: it uses a DFT-relaxed cell (GGA-PBE, Alexandria) and Cu Kα (λ = 1.5418 Å).
Peak positions follow from Bragg's law for the DFT cell and can differ from measured ones.

Principal peaks in the range 15 to 90 degrees two-theta, sorted by position:
d [Å]  2θ/deg  Rel. int.  hkl
3.415  26.09  100  2 0 -2
3.163  28.21  13  2 0 1
2.489  36.09  30  1 3 -3
2.348  38.33  28  3 3 -1
2.344  38.41  13  0 6 0
1.934  46.98  20  2 6 -2

Structural model:
```
data_Ba6IrS2I3
_chemical_formula_sum 'Ba12 Ir2 S4 I6'
_cell_length_a 8.1405
_cell_length_b 14.0627
_cell_length_c 8.8249
_cell_angle_alpha 90.00
_cell_angle_beta 107.99
_cell_angle_gamma 90.00
_symmetry_space_group_name_H-M 'C 1 2/m 1'
_symmetry_Int_Tables_number 12
loop_
_symmetry_equiv_pos_as_xyz
'x,y,z'
'-x,-y,-z'
'-x,y,-z'
'x,-y,z'
'x+1/2,y+1/2,z'
'-x+1/2,-y+1/2,-z'
'-x+1/2,y+1/2,-z'
'x+1/2,-y+1/2,z'
loop_
_atom_site_label
_atom_site_type_symbol
_atom_site_fract_x
_atom_site_fract_y
_atom_site_fract_z
Ba1 Ba 0.2259 0.1606 0.1965
Ba2 Ba 0.2425 0.5000 0.1983
Ir1 Ir 0.0000 0.0000 0.0000
S1 S 0.0000 0.3333 0.0000
I1 I 0.0000 0.1696 0.5000
I2 I 0.0000 0.5000 0.5000
```

Diffraction record for AcPm6Pr10. The PXRD pattern is computed, not measured: it uses a DFT-relaxed cell (GGA-PBE, Alexandria) and Cu Kα (λ = 1.5418 Å).
Peak positions follow from Bragg's law for the DFT cell and can differ from measured ones.

Principal peaks in the range 15 to 90 degrees two-theta, sorted by position:
d [Å]  2θ/deg  Rel. int.  hkl
2.988  29.90  21  2 1 1
2.903  30.81  100  2 -1 2
2.053  44.12  15  2 2 2
1.677  54.74  15  5 -1 2
1.673  54.88  10  1 1 4
1.604  57.46  10  4 0 3

Structural model:
```
data_AcPm6Pr10
_chemical_formula_sum 'Ac1 Pm6 Pr10'
_cell_length_a 10.0663
_cell_length_b 10.0663
_cell_length_c 7.0956
_cell_angle_alpha 90.00
_cell_angle_beta 90.00
_cell_angle_gamma 120.00
_symmetry_space_group_name_H-M 'P -3 1 m'
_symmetry_Int_Tables_number 162
_symmetry_space_group_name_Hall '-P 3 2'
loop_
_atom_site_label
_atom_site_type_symbol
_atom_site_fract_x
_atom_site_fract_y
_atom_site_fract_z
Ac1 Ac 0.0000 0.0000 0.0000
Pm1 Pm 0.0000 0.3726 0.1905
Pr1 Pr 0.0000 0.2791 0.6746
Pr2 Pr 0.3333 0.6667 0.0000
Pr3 Pr 0.3333 0.6667 0.5000
```